Calculated powder X-ray diffraction pattern
Compound: NpCo2GeO8
Radiation: copper Kα
Structure: a crystal structure in Alexandria, relaxed with GGA+U
Neutral-atom scattering factors, no anomalous dispersion.

Structural model:
a = 5.711 Å, b = 5.711 Å, c = 5.711 Å
α = 112.03°, β = 112.03°, γ = 104.47°
Positions (direct):
Np1 0.000 0.000 0.000
Co1 0.250 0.750 0.500
Co2 0.500 0.500 0.000
Ge1 0.750 0.250 0.500
O1 0.051 0.350 0.299
O2 0.051 0.752 0.701
O3 0.100 0.311 0.789
O4 0.248 0.949 0.299
O5 0.523 0.311 0.211
O6 0.650 0.949 0.701
O7 0.689 0.477 0.789
O8 0.689 0.900 0.211

Largest 10 diffraction maxima, in order of rising 2θ, 2θ = 15–90°:
d (Å), intensity
4.716, 70
4.515, 23
3.193, 88
2.765, 100
2.644, 22
2.257, 18
1.749, 72
1.534, 19
1.382, 30
1.179, 21